(1)
Diffraction record for Na2SiBiCO7. The X-ray powder pattern is calculated, not measured: it uses a crystal structure in the Materials Project, relaxed with PBE and Cu Kα (λ = 1.5418 Å).

Cell and atoms:
```
Na2SiBiCO7
1.0
5.358 0.000 0.000
0.000 6.956 0.000
-0.191 0.000 9.310
Na Si Bi C O
4 2 2 2 14
Cartesian
1.197 0.051 2.055 Na
1.197 3.427 2.055 Na
3.969 3.529 7.255 Na
3.969 6.905 7.255 Na
1.444 5.217 5.434 Si
3.722 1.739 3.876 Si
1.029 1.739 5.903 Bi
4.138 5.217 3.407 Bi
1.279 1.739 8.674 C
3.887 5.217 0.636 C
0.113 1.739 8.050 O
0.812 3.929 6.240 O
0.812 6.505 6.240 O
0.981 5.217 3.837 O
1.571 1.739 0.614 O
2.070 1.739 3.836 O
2.350 1.739 7.882 O
2.816 5.217 1.427 O
3.097 5.217 5.474 O
3.596 5.217 8.695 O
4.185 1.739 5.472 O
4.354 0.451 3.069 O
4.354 3.027 3.069 O
5.053 5.217 1.259 O
```

Peak list (6 most intense, 2θ from 10° to 80°, in order of falling intensity)
index  2θ (°)  I_rel
1 0 2  25.61  100
0 1 1  15.90  96
1 1 0  20.93  85
1 0 -1  18.94  38
1 2 -1  32.06  38
1 0 -2  25.09  34



(2)
Diffraction record for BiC2O5. The X-ray powder pattern is calculated, not measured: it uses a crystal structure in the Materials Project, relaxed with PBE and Cu Kα (λ = 1.5418 Å).

Cell and atoms:
```
BiC2O5
1.0
6.090 0.000 0.000
0.000 11.512 0.000
0.000 0.000 5.902
Bi C O
4 8 20
Cartesian
1.257 2.878 0.239 Bi
1.788 8.634 3.190 Bi
4.302 2.878 2.712 Bi
4.833 8.634 5.662 Bi
0.612 6.033 0.436 C
0.612 11.234 0.436 C
2.432 0.277 3.387 C
2.432 5.479 3.387 C
3.657 6.033 2.514 C
3.657 11.234 2.514 C
5.477 0.277 5.465 C
5.477 5.479 5.465 C
0.231 2.878 2.050 O
0.546 7.236 0.814 O
0.546 10.032 0.814 O
1.497 6.283 3.627 O
1.497 10.985 3.627 O
1.548 0.527 0.676 O
1.548 5.229 0.676 O
2.499 1.480 3.765 O
2.499 4.276 3.765 O
2.814 8.634 5.001 O
3.275 2.878 0.901 O
3.591 7.236 2.137 O
3.591 10.032 2.137 O
4.541 6.283 5.225 O
4.541 10.985 5.225 O
4.593 0.527 2.274 O
4.593 5.229 2.274 O
5.543 1.480 5.087 O
5.543 4.276 5.087 O
5.859 8.634 3.852 O
```

Peak list (6 most intense, 2θ from 10° to 80°, in order of falling intensity)
index  2θ (°)  I_rel
1 1 1  22.35  100
0 2 0  15.39  48
1 3 1  31.45  42
1 5 1  44.80  22
0 0 2  30.31  17
0 4 0  31.08  16